The following is a calculated X-ray diffraction stick pattern of TbY2Sc2. It was derived from the PBE geometry in Alexandria, using Cu Kα, 1.54184 Å.

Crystal structure
```
data_TbY2Sc2
_chemical_formula_sum 'Tb2 Y4 Sc4'
_space_group_name_H-M_alt 'C 1 2/m 1'
_space_group_IT_number 12
_cell_length_a 17.742
_cell_length_b 4.775
_cell_length_c 3.480
_cell_angle_alpha 90.00
_cell_angle_beta 101.26
_cell_angle_gamma 90.00
loop_
_space_group_symop_operation_xyz
'x,y,z'
'-x,-y,-z'
'-x,y,-z'
'x,-y,z'
'x+1/2,y+1/2,z'
'-x+1/2,-y+1/2,-z'
'-x+1/2,y+1/2,-z'
'x+1/2,-y+1/2,z'
loop_
_atom_site_label
_atom_site_fract_x
_atom_site_fract_y
_atom_site_fract_z
Tb1 0.000 0.000 0.000
Y1 0.196 0.000 0.196
Sc1 0.098 0.500 0.599
```

The 6 most intense peaks (5 to 70 degrees two-theta), in order of rising 2θ:
- (1 1 0), d 4.605, 19.3 deg, I 18.9
- (1 1 -1), d 2.813, 31.8 deg, I 100.0
- (4 0 1), d 2.461, 36.5 deg, I 34.1
- (0 2 0), d 2.388, 37.7 deg, I 15.7
- (4 2 1), d 1.714, 53.5 deg, I 22.0
- (3 1 2), d 1.480, 62.8 deg, I 26.4